# Sc2Mn2O7
Computed powder diffraction line list, Cu Kα (λ = 1.5418 Å). Input: a cell relaxed with PBE+U.

Main lines, low angle first (2θ from 10° to 90°):
(1 1 1), d = 5.609 Å, 15.80 deg, rel. 3.5
(3 1 1), d = 2.929 Å, 30.52 deg, rel. 6.5
(2 2 2), d = 2.804 Å, 31.91 deg, rel. 100.0
(4 0 0), d = 2.429 Å, 37.02 deg, rel. 12.0
(3 3 3), d = 1.870 Å, 48.71 deg, rel. 3.0
(4 4 0), d = 1.717 Å, 53.35 deg, rel. 60.0
(6 2 2), d = 1.464 Å, 63.53 deg, rel. 34.7
(4 4 4), d = 1.402 Å, 66.71 deg, rel. 4.8
(8 0 0), d = 1.214 Å, 78.82 deg, rel. 7.1
(6 6 2), d = 1.114 Å, 87.55 deg, rel. 13.3

Cell lengths 9.714, 9.714, 9.714 Å; angles 90.00, 90.00, 90.00 degrees
Space group Fd-3m (No. 227, origin choice 2)
Symmetry-distinct sites (fractional):
Sc  0.000  0.000  0.000
Mn  0.000  0.000  0.500
O  0.087  0.375  0.875
O  0.125  0.125  0.125